Li4Zn5: calculated PXRD pattern (Cu Kα X-rays), based on DFT lattice parameters and positions (PBE).
No peak broadening, texture or thermal motion is included.

Crystal structure
a b c (Å): 4.322 4.322 8.030
angles (deg): 90.68 90.68 60.60
Fractional coordinates of all 9 atoms:
Li 0.001 0.001 0.165
Li 0.333 0.333 0.723
Li 0.667 0.667 0.277
Li 0.999 0.999 0.835
Zn 0.000 0.000 0.500
Zn 0.334 0.334 0.057
Zn 0.334 0.334 0.389
Zn 0.666 0.666 0.611
Zn 0.666 0.666 0.943

Principal peaks in the range 2θ from 10° to 90°, sorted by position:
Position (°2θ)  I (rel.)
11.02  12.3
22.14  49.8
26.21  100.0
41.24  40.9
41.41  37.9
41.53  75.1
41.81  75.0
47.45  12.8
47.56  12.7
48.06  12.3
59.87  24.2
75.78  23.0

LiZn15: calculated PXRD pattern (Cu Kα X-rays), based on DFT lattice parameters and positions (PBE).
No peak broadening, texture or thermal motion is included.

Crystal structure
a b c (Å): 5.398 5.398 9.412
angles (deg): 90.00 90.00 120.00
Fractional coordinates of all 16 atoms:
Li 0.000 0.000 0.000
Zn 0.000 0.000 0.500
Zn 0.000 0.500 0.500
Zn 0.332 0.166 0.247
Zn 0.332 0.166 0.753
Zn 0.333 0.667 0.246
Zn 0.333 0.667 0.754
Zn 0.500 0.000 0.500
Zn 0.500 0.500 0.500
Zn 0.502 0.004 0.000
Zn 0.502 0.498 0.000
Zn 0.834 0.166 0.247
Zn 0.834 0.166 0.753
Zn 0.834 0.668 0.247
Zn 0.834 0.668 0.753
Zn 0.996 0.498 0.000

Principal peaks in the range 2θ from 10° to 90°, sorted by position:
Position (°2θ)  I (rel.)
21.22  3.3
26.88  2.0
38.25  31.6
38.52  24.3
43.22  100.0
55.41  15.5
69.68  14.8
72.58  19.4
81.88  3.0
82.39  18.0
82.55  2.3
85.64  12.3

Li2Zn17: calculated PXRD pattern (Cu Kα X-rays), based on DFT lattice parameters and positions (PBE).
No peak broadening, texture or thermal motion is included.

Crystal structure
a b c (Å): 6.773 6.773 6.773
angles (deg): 82.65 82.65 82.65
Fractional coordinates of all 19 atoms:
Li 0.171 0.171 0.171
Li 0.829 0.829 0.829
Zn 0.000 0.500 0.500
Zn 0.151 0.151 0.659
Zn 0.151 0.659 0.151
Zn 0.191 0.500 0.809
Zn 0.191 0.809 0.500
Zn 0.341 0.849 0.849
Zn 0.400 0.400 0.400
Zn 0.500 0.000 0.500
Zn 0.500 0.191 0.809
Zn 0.500 0.500 0.000
Zn 0.500 0.809 0.191
Zn 0.600 0.600 0.600
Zn 0.659 0.151 0.151
Zn 0.809 0.191 0.500
Zn 0.809 0.500 0.191
Zn 0.849 0.341 0.849
Zn 0.849 0.849 0.341

Principal peaks in the range 2θ from 10° to 90°, sorted by position:
Position (°2θ)  I (rel.)
13.27  25.9
19.85  43.8
34.74  16.7
40.33  34.4
40.55  62.8
41.21  28.2
41.51  13.3
45.54  100.0
46.14  33.7
70.35  17.2
73.33  19.9
74.66  14.0

LiZn: calculated PXRD pattern (Cu Kα X-rays), based on DFT lattice parameters and positions (PBE).
No peak broadening, texture or thermal motion is included.

Crystal structure
a b c (Å): 2.795 2.795 9.349
angles (deg): 90.00 90.00 120.00
Fractional coordinates of all 4 atoms:
Li 0.333 0.667 0.136
Li 0.667 0.333 0.864
Zn 0.333 0.667 0.622
Zn 0.667 0.333 0.378

Principal peaks in the range 2θ from 10° to 90°, sorted by position:
Position (°2θ)  I (rel.)
28.65  20.2
37.14  23.8
38.41  63.4
38.52  28.3
42.03  100.0
47.56  37.5
54.58  15.0
62.80  12.5
66.95  15.5
72.09  18.1
79.97  24.5
82.29  12.5

Question: Which formula does entry 4 have?
Answer: LiZn

Copy entry 4 word for word.
LiZn: calculated PXRD pattern (Cu Kα X-rays), based on DFT lattice parameters and positions (PBE).
No peak broadening, texture or thermal motion is included.

Crystal structure
a b c (Å): 2.795 2.795 9.349
angles (deg): 90.00 90.00 120.00
Fractional coordinates of all 4 atoms:
Li 0.333 0.667 0.136
Li 0.667 0.333 0.864
Zn 0.333 0.667 0.622
Zn 0.667 0.333 0.378

Principal peaks in the range 2θ from 10° to 90°, sorted by position:
Position (°2θ)  I (rel.)
28.65  20.2
37.14  23.8
38.41  63.4
38.52  28.3
42.03  100.0
47.56  37.5
54.58  15.0
62.80  12.5
66.95  15.5
72.09  18.1
79.97  24.5
82.29  12.5